No. 1
Simulated powder X-ray diffraction pattern of Na4MgTi2Si2O10 for Cu Kα X-rays, from the GGA-PBE geometry in the Materials Project.
Intensities are scaled so that the largest is 100.

Peak list (10 most intense, 10° ≤ 2θ ≤ 90°, sorted by position)
Position (°2θ), I/Imax
17.26, 13
26.20, 38
31.55, 100
34.26, 24
37.41, 41
43.64, 17
52.10, 40
53.92, 39
60.53, 14
63.82, 14

Cell lengths 6.8021, 6.8021, 5.1369 Å; angles 90.00, 90.00, 90.00 degrees
Space group P-4m2 (No. 115)
Asymmetric unit:
Na 0.2165 0.2165 0.0000 x4
Mg 0.5000 0.5000 0.0000 x1
Ti 0.0000 0.5000 0.5530 x2
Si 0.0000 0.0000 0.5000 x1
Si 0.5000 0.5000 0.5000 x1
O 0.0000 0.2023 0.6787 x4
O 0.0000 0.5000 0.2088 x2
O 0.3120 0.5000 0.7064 x4

---

No. 2
Simulated powder X-ray diffraction pattern of Na4MgTi2Si2O10 for Cu Kα X-rays, from the GGA-PBE geometry in the Materials Project.
Intensities are scaled so that the largest is 100.

Peak list (10 most intense, 10° ≤ 2θ ≤ 90°, sorted by position)
Position (°2θ), I/Imax
15.23, 32
19.45, 14
27.64, 25
31.70, 100
34.69, 25
39.49, 19
50.85, 28
55.26, 21
57.07, 24
66.77, 15

Cell lengths 6.4550, 6.4550, 5.8182 Å; angles 90.00, 90.00, 90.00 degrees
Space group P4mm (No. 99)
Asymmetric unit:
Na 0.2271 0.2271 0.0000 x4
Mg 0.5000 0.5000 0.2008 x1
Ti 0.0000 0.0000 0.5404 x1
Ti 0.5000 0.5000 0.5869 x1
Si 0.0000 0.5000 0.4939 x2
O 0.0000 0.0000 0.2359 x1
O 0.0000 0.2932 0.6656 x4
O 0.2090 0.5000 0.3298 x4
O 0.5000 0.5000 0.8927 x1

---

No. 3
Simulated powder X-ray diffraction pattern of Na4MgTi2Si2O10 for Cu Kα X-rays, from the GGA-PBE geometry in the Materials Project.
Intensities are scaled so that the largest is 100.

Peak list (10 most intense, 10° ≤ 2θ ≤ 90°, sorted by position)
Position (°2θ), I/Imax
16.95, 73
26.00, 19
30.75, 68
31.65, 100
36.39, 20
36.98, 22
37.20, 26
42.70, 28
51.31, 26
53.48, 39

Cell lengths 9.6702, 9.7225, 5.2364 Å; angles 90.00, 92.47, 90.00 degrees
Space group Cm (No. 8)
Asymmetric unit:
Na 0.0000 0.0000 0.0000 x2
Na 0.0506 0.5000 0.9166 x2
Na 0.2674 0.2446 0.9968 x4
Mg 0.4681 0.0000 0.3914 x2
Ti 0.2242 0.0000 0.5683 x2
Ti 0.2698 0.5000 0.4418 x2
Si 0.0052 0.2418 0.4928 x4
O 0.0992 0.3497 0.3127 x4
O 0.1056 0.1506 0.6899 x4
O 0.2695 0.5000 0.7784 x2
O 0.2762 0.0000 0.2351 x2
O 0.4062 0.3550 0.3090 x4
O 0.4118 0.1455 0.6538 x4

---

No. 4
Simulated powder X-ray diffraction pattern of Na4MgTi2Si2O10 for Cu Kα X-rays, from the GGA-PBE geometry in the Materials Project.
Intensities are scaled so that the largest is 100.

Peak list (10 most intense, 10° ≤ 2θ ≤ 90°, sorted by position)
Position (°2θ), I/Imax
17.04, 50
25.88, 57
31.03, 96
31.15, 100
32.65, 96
36.94, 41
37.52, 39
50.78, 35
52.95, 30
53.21, 45

Cell lengths 5.2105, 6.8865, 6.6868 Å; angles 90.00, 93.12, 90.00 degrees
Space group Pm (No. 6)
Asymmetric unit:
Na 0.0000 0.1855 0.0000 x2
Na 0.9516 0.2271 0.5285 x2
Mg 0.8032 0.5000 0.1333 x1
Ti 0.3694 0.5000 0.7890 x1
Ti 0.4922 0.0000 0.2791 x1
Si 0.3824 0.5000 0.3007 x1
Si 0.4634 0.0000 0.7750 x1
O 0.1511 0.0000 0.2750 x1
O 0.1758 0.5000 0.0994 x1
O 0.2130 0.5000 0.4962 x1
O 0.2816 0.1978 0.7716 x2
O 0.5870 0.3145 0.2805 x2
O 0.6403 0.0000 0.9900 x1
O 0.6439 0.0000 0.5787 x1
O 0.7112 0.5000 0.8472 x1